No. 1
Computed PXRD pattern of Sr2In6GePd for λ = 1.5418 Å (Cu Kα), from a structure optimized by DFT (PBE).

Cell and atoms:
abc: 13.0405 13.0405 13.0405
angles: 32.61 32.61 32.61
Sites, in units of the cell vectors:
1 Sr 0.1047 0.1047 0.1047
2 Sr 0.2814 0.2814 0.2814
3 Sr 0.7186 0.7186 0.7186
4 Sr 0.8953 0.8953 0.8953
5 In 0.0742 0.6660 0.6660
6 In 0.2232 0.2232 0.6497
7 In 0.2232 0.6497 0.2232
8 In 0.3340 0.3340 0.9258
9 In 0.3340 0.9258 0.3340
10 In 0.3503 0.7768 0.7768
11 In 0.6497 0.2232 0.2232
12 In 0.6660 0.0742 0.6660
13 In 0.6660 0.6660 0.0742
14 In 0.7768 0.3503 0.7768
15 In 0.7768 0.7768 0.3503
16 In 0.9258 0.3340 0.3340
17 Ge 0.4274 0.4274 0.4274
18 Ge 0.5726 0.5726 0.5726
19 Pd 0.0000 0.0000 0.0000
20 Pd 0.5000 0.5000 0.5000

Principal peaks in the range 5 to 70 degrees two-theta, most intense first:
2θ (°), I (rel.)
32.9, 100.0
30.7, 81.2
37.8, 52.9
49.8, 49.8
30.1, 29.9
48.4, 25.7
38.8, 25.7
14.4, 22.3
34.5, 22.0
44.6, 21.9

---

No. 2
Computed PXRD pattern of CeTm4Sc6 for λ = 1.5418 Å (Cu Kα), from a structure optimized by DFT (PBE).

Cell and atoms:
abc: 8.3975 8.3975 8.4843
angles: 90.00 90.00 90.00
Sites, in units of the cell vectors:
1 Ce 0.0000 0.0000 0.0000
2 Ce 0.5000 0.5000 0.5000
3 Tm 0.1514 0.3486 0.2500
4 Tm 0.1514 0.3486 0.7500
5 Tm 0.3486 0.8486 0.2500
6 Tm 0.3486 0.8486 0.7500
7 Tm 0.6514 0.1514 0.2500
8 Tm 0.6514 0.1514 0.7500
9 Tm 0.8486 0.6514 0.2500
10 Tm 0.8486 0.6514 0.7500
11 Sc 0.0000 0.0000 0.3390
12 Sc 0.0000 0.0000 0.6610
13 Sc 0.1360 0.6548 0.5000
14 Sc 0.1548 0.6360 0.0000
15 Sc 0.3452 0.1360 0.5000
16 Sc 0.3640 0.1548 0.0000
17 Sc 0.5000 0.5000 0.1610
18 Sc 0.5000 0.5000 0.8390
19 Sc 0.6360 0.8452 0.0000
20 Sc 0.6548 0.8640 0.5000
21 Sc 0.8452 0.3640 0.0000
22 Sc 0.8640 0.3452 0.5000

Principal peaks in the range 5 to 70 degrees two-theta, most intense first:
2θ (°), I (rel.)
31.8, 100.0
33.8, 50.0
23.7, 34.6
63.6, 19.9
55.4, 15.0
25.8, 13.2
20.9, 12.2
42.6, 11.4
49.7, 10.9
50.9, 10.6